(1)
The following is a theoretical X-ray diffraction stick pattern of K2Te3O10. It was derived from the GGA-PBE geometry in Alexandria, using a wavelength of 1.5418 Å.

Largest 12 diffraction maxima, by angle, 10° ≤ 2θ ≤ 80°:
| d_spacing | I (rel.) |
| --- | --- |
| 8.583 | 28 |
| 7.956 | 51 |
| 5.740 | 68 |
| 3.978 | 100 |
| 3.480 | 57 |
| 3.376 | 29 |
| 3.296 | 26 |
| 3.161 | 40 |
| 3.088 | 84 |
| 2.815 | 36 |
| 2.539 | 27 |
| 2.168 | 29 |

Structure:
```
30
Lattice="9.261 -3.045 0.000 9.261 3.045 0.000 -3.222 0.000 7.956" Properties=species:S:1:pos:R:3 pbc="T T T"
K 1.495 0.000 1.734
K 1.176 0.000 6.585
K 14.124 0.000 1.370
K 13.805 0.000 6.222
Te 7.650 1.520 3.978
Te 4.316 0.000 3.907
Te 4.441 0.000 7.853
Te 10.858 0.000 0.102
Te 10.983 0.000 4.049
Te 7.650 -1.520 3.978
O 3.019 1.523 3.978
O -1.577 0.000 5.271
O 6.574 1.444 0.139
O 5.719 1.518 4.064
O 4.347 0.000 2.085
O 9.261 1.234 0.000
O 9.580 1.518 3.892
O 4.239 0.000 5.861
O 8.725 1.444 7.817
O 7.620 0.000 2.656
O 3.019 -1.523 3.978
O 7.679 0.000 5.300
O 6.574 -1.444 0.139
O 11.060 0.000 2.094
O 5.719 -1.518 4.064
O 9.261 -1.234 0.000
O 10.953 0.000 5.870
O 9.580 -1.518 3.892
O 8.725 -1.444 7.817
O 16.877 0.000 2.685
```

(2)
The following is a theoretical X-ray diffraction stick pattern of K4TeO4. It was derived from the GGA-PBE geometry in Alexandria, using a wavelength of 1.5418 Å.

Largest 12 diffraction maxima, by angle, 10° ≤ 2θ ≤ 80°:
| d_spacing | I (rel.) |
| --- | --- |
| 5.932 | 32 |
| 4.535 | 63 |
| 3.079 | 100 |
| 2.695 | 36 |
| 2.653 | 58 |
| 1.904 | 11 |
| 1.891 | 39 |
| 1.876 | 19 |
| 1.621 | 14 |
| 1.602 | 37 |
| 1.540 | 19 |
| 1.226 | 15 |

Structure:
```
9
Lattice="-4.195 4.195 2.695 4.195 -4.195 2.695 4.195 4.195 -2.695" Properties=species:S:1:pos:R:3 pbc="T T T"
K 5.871 0.899 0.000
K 0.899 2.519 0.000
K 3.296 1.676 2.695
K -1.676 3.296 2.695
Te 0.000 0.000 2.695
O 3.582 2.232 0.000
O 1.963 -0.613 2.695
O 2.232 4.808 0.000
O 0.613 1.963 2.695
```

(3)
The following is a theoretical X-ray diffraction stick pattern of K4TeO5. It was derived from the GGA-PBE geometry in Alexandria, using a wavelength of 1.5418 Å.

Largest 12 diffraction maxima, by angle, 10° ≤ 2θ ≤ 80°:
| d_spacing | I (rel.) |
| --- | --- |
| 5.797 | 51 |
| 4.672 | 55 |
| 4.099 | 12 |
| 3.081 | 100 |
| 2.843 | 39 |
| 2.593 | 58 |
| 1.916 | 37 |
| 1.833 | 19 |
| 1.684 | 21 |
| 1.576 | 33 |
| 1.541 | 17 |
| 1.240 | 15 |

Structure:
```
10
Lattice="-4.099 4.099 2.843 4.099 -4.099 2.843 4.099 4.099 -2.843" Properties=species:S:1:pos:R:3 pbc="T T T"
K 2.416 0.826 0.000
K 3.273 -1.683 2.843
K 0.826 5.782 0.000
K 1.683 3.273 2.843
Te 0.000 0.000 3.042
O 4.671 2.271 -0.152
O 2.271 3.527 -0.152
O 1.828 0.572 2.691
O -0.572 1.828 2.691
O 0.000 0.000 4.928
```

(4)
The following is a theoretical X-ray diffraction stick pattern of KTmTeO4. It was derived from the GGA-PBE geometry in Alexandria, using a wavelength of 1.5418 Å.

Largest 12 diffraction maxima, by angle, 10° ≤ 2θ ≤ 80°:
| d_spacing | I (rel.) |
| --- | --- |
| 7.435 | 100 |
| 4.668 | 53 |
| 3.277 | 58 |
| 3.160 | 14 |
| 3.125 | 48 |
| 2.999 | 43 |
| 2.923 | 18 |
| 2.628 | 21 |
| 2.526 | 28 |
| 2.371 | 28 |
| 2.093 | 18 |
| 1.581 | 14 |

Structure:
```
14
Lattice="5.860 0.000 0.000 0.000 5.998 0.000 -2.428 0.000 7.435" Properties=species:S:1:pos:R:3 pbc="T T T"
K 0.085 1.500 1.120
K 3.347 4.499 6.315
Tm -0.176 4.499 3.419
Tm 3.607 1.500 4.015
Te 0.675 1.500 5.516
Te 2.757 4.499 1.919
O -0.624 0.067 4.937
O -0.624 2.933 4.937
O 0.755 4.499 1.431
O 1.364 1.500 3.716
O 2.068 4.499 3.719
O 2.677 1.500 6.003
O 4.055 3.066 2.498
O 4.055 5.932 2.498
```

(5)
The following is a theoretical X-ray diffraction stick pattern of KUTeO6. It was derived from the GGA-PBE geometry in Alexandria, using a wavelength of 1.5418 Å.

Largest 12 diffraction maxima, by angle, 10° ≤ 2θ ≤ 80°:
| d_spacing | I (rel.) |
| --- | --- |
| 5.842 | 100 |
| 4.918 | 38 |
| 4.533 | 18 |
| 3.762 | 89 |
| 2.839 | 51 |
| 2.554 | 59 |
| 2.266 | 19 |
| 2.036 | 60 |
| 1.771 | 20 |
| 1.639 | 17 |
| 1.606 | 20 |
| 1.579 | 19 |

Structure:
```
18
Lattice="5.679 0.000 0.000 -2.839 4.918 0.000 0.000 0.000 11.683" Properties=species:S:1:pos:R:3 pbc="T T T"
K 0.000 0.000 0.000
K 0.000 0.000 5.842
U 0.000 3.279 2.921
U 2.839 1.639 8.763
Te 0.000 3.279 8.763
Te 2.839 1.639 2.921
O -1.034 1.918 7.657
O -1.696 3.064 9.868
O 1.034 1.918 9.868
O -0.662 4.855 7.657
O 2.178 0.063 1.815
O 1.144 1.854 4.027
O 1.696 3.064 7.657
O 0.662 4.855 9.868
O 3.501 0.063 4.027
O 1.805 3.000 1.815
O 4.535 1.854 1.815
O 3.873 3.000 4.027
```